1.
NaTmTe4: computed powder diffraction line list (CuKα), based on a structure optimized by DFT (PBE).

Cell and atoms:
Cell: 6.7712 6.7712 8.1655 Å, 90.00 90.00 90.00°
Atoms (fractional coordinates):
Na 0.2500 0.2500 0.0000
Na 0.7500 0.7500 0.0000
Tm 0.2500 0.2500 0.5000
Tm 0.7500 0.7500 0.5000
Te 0.1018 0.6018 0.2747
Te 0.1018 0.8982 0.7253
Te 0.3982 0.6018 0.7253
Te 0.3982 0.8982 0.2747
Te 0.6018 0.1018 0.7253
Te 0.6018 0.3982 0.2747
Te 0.8982 0.1018 0.2747
Te 0.8982 0.3982 0.7253

Peak list (6 most intense, 10° ≤ 2θ ≤ 80°, by angle)
2theta, I (rel.)
10.83, 51
28.74, 58
31.51, 100
34.41, 30
42.20, 35
44.77, 31

2.
Y6Co7: computed powder diffraction line list (CuKα), based on a structure optimized by DFT (PBE).

Cell and atoms:
Cell: 10.6281 10.6281 10.6281 Å, 28.20 28.20 28.20°
Atoms (fractional coordinates):
Y 0.0543 0.0543 0.0543
Y 0.1523 0.1523 0.1523
Y 0.3275 0.3275 0.3275
Y 0.6725 0.6725 0.6725
Y 0.8477 0.8477 0.8477
Y 0.9457 0.9457 0.9457
Co 0.1033 0.5955 0.5955
Co 0.4045 0.4045 0.8967
Co 0.4045 0.8967 0.4045
Co 0.5000 0.5000 0.5000
Co 0.5955 0.1033 0.5955
Co 0.5955 0.5955 0.1033
Co 0.8967 0.4045 0.4045

Peak list (6 most intense, 10° ≤ 2θ ≤ 80°, by angle)
2theta, I (rel.)
34.64, 93
35.52, 74
38.07, 91
39.01, 100
40.32, 49
42.95, 69

3.
Cs2BiI5: computed powder diffraction line list (CuKα), based on a structure optimized by DFT (PBE).

Cell and atoms:
Cell: 7.7669 9.0348 9.4974 Å, 96.18 113.98 115.29°
Atoms (fractional coordinates):
Cs 0.0000 0.0000 0.0000
Cs 0.0613 0.6174 0.5052
Bi 0.5399 0.3101 0.7538
I 0.0970 0.0540 0.4466
I 0.4721 0.0249 0.9180
I 0.5913 0.5942 0.5881
I 0.6571 0.5663 0.0605
I 0.9273 0.3139 0.7578

Peak list (6 most intense, 10° ≤ 2θ ≤ 80°, by angle)
2theta, I (rel.)
10.84, 85
13.09, 100
18.36, 52
22.90, 70
25.89, 73
28.04, 49

4.
ZnCdTeP: computed powder diffraction line list (CuKα), based on a structure optimized by DFT (PBE).

Cell and atoms:
Cell: 4.1997 4.1997 7.2117 Å, 90.00 90.00 120.00°
Atoms (fractional coordinates):
Zn 0.0000 0.0000 0.0000
Cd 0.6667 0.3333 0.5604
Te 0.6667 0.3333 0.1567
P 0.0000 0.0000 0.6784

Peak list (6 most intense, 10° ≤ 2θ ≤ 80°, by angle)
2theta, I (rel.)
24.47, 100
24.69, 42
27.47, 46
35.04, 65
43.08, 59
45.21, 56

5.
Cd4In3: computed powder diffraction line list (CuKα), based on a structure optimized by DFT (PBE).

Cell and atoms:
Cell: 6.0378 6.0378 5.8971 Å, 90.00 90.00 120.00°
Atoms (fractional coordinates):
Cd 0.0000 0.0000 0.2369
Cd 0.0000 0.0000 0.7631
Cd 0.3333 0.6667 0.0000
Cd 0.6667 0.3333 0.0000
In 0.0000 0.5000 0.5000
In 0.5000 0.0000 0.5000
In 0.5000 0.5000 0.5000

Peak list (6 most intense, 10° ≤ 2θ ≤ 80°, by angle)
2theta, I (rel.)
29.59, 44
33.34, 72
34.30, 54
34.93, 100
37.63, 77
56.02, 49

6.
Hf2CdFeH: computed powder diffraction line list (CuKα), based on a structure optimized by DFT (PBE).

Cell and atoms:
Cell: 4.6710 4.6710 3.4866 Å, 90.00 90.00 90.00°
Atoms (fractional coordinates):
Hf 0.0000 0.5000 0.0000
Hf 0.5000 0.0000 0.0000
Cd 0.0000 0.0000 0.5000
Fe 0.5000 0.5000 0.5000
H 0.5000 0.5000 0.0000

Peak list (6 most intense, 10° ≤ 2θ ≤ 80°, by angle)
2theta, I (rel.)
27.00, 13
37.51, 100
38.55, 47
55.66, 16
66.99, 18
69.06, 33